Diffraction record for Tb3Co2Si4. The X-ray diffraction stick pattern is simulated, not measured: it uses a structure optimized by DFT (GGA-PBE) and a wavelength of 1.5418 Å.
Neutral-atom scattering factors, no anomalous dispersion.

Most intense lines, 5° ≤ 2θ ≤ 70°, in order of rising 2θ:
h k l	2theta	intensity
2 0 1	23.86	63.4
1 1 -1	25.38	100.0
3 1 -1	33.95	76.8
3 1 0	34.61	88.1
1 1 2	35.61	80.9
0 0 3	35.81	60.6

```
data_Tb3Co2Si4
_cell_length_a 10.6240
_cell_length_b 4.0308
_cell_length_c 7.8719
_cell_angle_alpha 90.00
_cell_angle_beta 107.13
_cell_angle_gamma 90.00
_space_group_name_H-M_alt 'C 1 2/m 1'
_space_group_IT_number 12
loop_
_space_group_symop_operation_xyz
'x,y,z'
'-x,-y,-z'
'-x,y,-z'
'x,-y,z'
'x+1/2,y+1/2,z'
'-x+1/2,-y+1/2,-z'
'-x+1/2,y+1/2,-z'
'x+1/2,-y+1/2,z'
loop_
_atom_site_label
_atom_site_type_symbol
_atom_site_fract_x
_atom_site_fract_y
_atom_site_fract_z
Tb1 Tb 0.0000 0.0000 0.0000
Tb2 Tb 0.1154 0.5000 0.6923
Co1 Co 0.1943 0.5000 0.3676
Si1 Si 0.1076 0.0000 0.4026
Si2 Si 0.2185 0.5000 0.0798
```



Diffraction record for MgZn4O5. The X-ray diffraction stick pattern is simulated, not measured: it uses a structure optimized by DFT (GGA-PBE) and a wavelength of 1.5418 Å.
Neutral-atom scattering factors, no anomalous dispersion.

Most intense lines, 5° ≤ 2θ ≤ 70°, in order of rising 2θ:
h k l	2theta	intensity
1 0 0	31.36	58.6
0 0 10	34.02	41.2
0 1 5	35.79	100.0
1 1 0	55.82	38.5
0 1 15	62.04	35.7
1 1 10	67.00	30.3

```
data_MgZn4O5
_cell_length_a 3.2940
_cell_length_b 3.2940
_cell_length_c 26.3555
_cell_angle_alpha 90.00
_cell_angle_beta 90.00
_cell_angle_gamma 120.00
_space_group_name_H-M_alt 'P 3 m 1'
_space_group_IT_number 156
loop_
_space_group_symop_operation_xyz
'x,y,z'
'-y,x-y,z'
'-x+y,-x,z'
'-y,-x,z'
'-x+y,y,z'
'x,x-y,z'
loop_
_atom_site_label
_atom_site_type_symbol
_atom_site_fract_x
_atom_site_fract_y
_atom_site_fract_z
Mg1 Mg 0.0000 0.0000 0.0000
Mg2 Mg 0.0000 0.0000 0.1986
Zn1 Zn 0.0000 0.0000 0.3972
Zn2 Zn 0.0000 0.0000 0.5981
Zn3 Zn 0.0000 0.0000 0.7991
Zn4 Zn 0.6667 0.3333 0.0979
Zn5 Zn 0.6667 0.3333 0.2966
Zn6 Zn 0.6667 0.3333 0.4976
Zn7 Zn 0.6667 0.3333 0.6986
Zn8 Zn 0.6667 0.3333 0.8994
O1 O 0.0000 0.0000 0.1226
O2 O 0.0000 0.0000 0.3207
O3 O 0.0000 0.0000 0.5216
O4 O 0.0000 0.0000 0.7226
O5 O 0.0000 0.0000 0.9239
O6 O 0.6667 0.3333 0.0218
O7 O 0.6667 0.3333 0.2204
O8 O 0.6667 0.3333 0.4211
O9 O 0.6667 0.3333 0.6221
O10 O 0.6667 0.3333 0.8229
```



Diffraction record for Sr4HoTi3O12. The X-ray diffraction stick pattern is simulated, not measured: it uses a structure optimized by DFT (GGA-PBE) and a wavelength of 1.5418 Å.
Neutral-atom scattering factors, no anomalous dispersion.

Most intense lines, 5° ≤ 2θ ≤ 70°, in order of rising 2θ:
h k l	2theta	intensity
1 1 0	15.45	16.5
2 1 1	26.93	9.5
2 2 0	31.20	100.0
4 0 0	44.70	36.6
4 2 2	55.51	38.7
4 4 0	65.06	21.5

```
data_Sr4HoTi3O12
_cell_length_a 8.1093
_cell_length_b 8.1093
_cell_length_c 8.1093
_cell_angle_alpha 90.00
_cell_angle_beta 90.00
_cell_angle_gamma 90.00
_space_group_name_H-M_alt 'I m -3 m'
_space_group_IT_number 229
_space_group_name_Hall '-I 4 2 3'
loop_
_atom_site_label
_atom_site_type_symbol
_atom_site_fract_x
_atom_site_fract_y
_atom_site_fract_z
Sr1 Sr 0.2500 0.2500 0.2500
Ho1 Ho 0.0000 0.0000 0.0000
Ti1 Ti 0.0000 0.0000 0.5000
O1 O 0.0000 0.0000 0.2667
O2 O 0.0000 0.2500 0.5000
```



Diffraction record for Al2In. The X-ray diffraction stick pattern is simulated, not measured: it uses a structure optimized by DFT (GGA-PBE) and a wavelength of 1.5418 Å.
Neutral-atom scattering factors, no anomalous dispersion.

Most intense lines, 5° ≤ 2θ ≤ 70°, in order of rising 2θ:
h k l	2theta	intensity
0 0 1	12.95	88.8
4 0 -1	29.36	58.7
1 1 -1	32.76	66.8
2 0 2	35.24	66.4
3 1 0	38.62	100.0
1 1 -2	39.12	86.0

```
data_Al2In
_cell_length_a 12.1846
_cell_length_b 2.9610
_cell_length_c 7.3427
_cell_angle_alpha 90.00
_cell_angle_beta 111.38
_cell_angle_gamma 90.00
_space_group_name_H-M_alt 'C 1 2/m 1'
_space_group_IT_number 12
loop_
_space_group_symop_operation_xyz
'x,y,z'
'-x,-y,-z'
'-x,y,-z'
'x,-y,z'
'x+1/2,y+1/2,z'
'-x+1/2,-y+1/2,-z'
'-x+1/2,y+1/2,-z'
'x+1/2,-y+1/2,z'
loop_
_atom_site_label
_atom_site_type_symbol
_atom_site_fract_x
_atom_site_fract_y
_atom_site_fract_z
Al1 Al 0.0349 0.0000 0.2133
Al2 Al 0.1606 0.5000 0.0307
In1 In 0.1529 0.5000 0.6052
```



Diffraction record for Pm12NiGe7. The X-ray diffraction stick pattern is simulated, not measured: it uses a structure optimized by DFT (GGA-PBE) and a wavelength of 1.5418 Å.
Neutral-atom scattering factors, no anomalous dispersion.

Most intense lines, 5° ≤ 2θ ≤ 70°, in order of rising 2θ:
h k l	2theta	intensity
4 -3 1	27.08	66.1
3 1 2	32.15	100.0
0 3 3	36.51	23.7
2 2 3	38.56	17.8
5 -4 3	44.29	17.0
2 5 0	44.42	29.2

```
data_Pm12NiGe7
_cell_length_a 14.7078
_cell_length_b 14.7078
_cell_length_c 9.0667
_cell_angle_alpha 90.00
_cell_angle_beta 90.00
_cell_angle_gamma 120.00
_space_group_name_H-M_alt 'R -3'
_space_group_IT_number 148
_space_group_name_Hall '-R 3'
loop_
_atom_site_label
_atom_site_type_symbol
_atom_site_fract_x
_atom_site_fract_y
_atom_site_fract_z
Pm1 Pm 0.0299 0.4429 0.3137
Pm2 Pm 0.0458 0.1760 0.2726
Ni1 Ni 0.0000 0.0000 0.0000
Ge1 Ge 0.0000 0.0000 0.5000
Ge2 Ge 0.0471 0.1831 0.9250
```



Diffraction record for KSrVS4. The X-ray diffraction stick pattern is simulated, not measured: it uses a structure optimized by DFT (GGA-PBE) and a wavelength of 1.5418 Å.
Neutral-atom scattering factors, no anomalous dispersion.

Most intense lines, 5° ≤ 2θ ≤ 70°, in order of rising 2θ:
h k l	2theta	intensity
0 0 1	10.46	100.0
0 1 1	16.85	52.2
0 2 0	26.53	52.8
1 1 2	31.35	63.5
2 1 -2	32.23	51.9
2 2 0	38.48	55.6

```
data_KSrVS4
_cell_length_a 6.8162
_cell_length_b 6.7207
_cell_length_c 8.8493
_cell_angle_alpha 90.00
_cell_angle_beta 107.04
_cell_angle_gamma 90.00
_space_group_name_H-M_alt 'P 1 21/m 1'
_space_group_IT_number 11
loop_
_space_group_symop_operation_xyz
'x,y,z'
'-x,-y,-z'
'-x,y+1/2,-z'
'x,-y+1/2,z'
loop_
_atom_site_label
_atom_site_type_symbol
_atom_site_fract_x
_atom_site_fract_y
_atom_site_fract_z
K1 K 0.2201 0.2500 0.4316
Sr1 Sr 0.2672 0.2500 0.9519
V1 V 0.2927 0.7500 0.1905
S1 S 0.0942 0.7500 0.3407
S2 S 0.1193 0.7500 0.9438
S3 S 0.4969 0.0030 0.2370
```



Diffraction record for SmPu2O11. The X-ray diffraction stick pattern is simulated, not measured: it uses a structure optimized by DFT (GGA-PBE) and a wavelength of 1.5418 Å.
Neutral-atom scattering factors, no anomalous dispersion.

Most intense lines, 5° ≤ 2θ ≤ 70°, in order of rising 2θ:
h k l	2theta	intensity
2 0 0	16.55	48.8
2 2 0	24.15	100.0
2 0 2	26.87	70.1
0 2 2	27.46	72.1
4 2 2	43.81	42.2
2 4 2	44.96	31.9

```
data_SmPu2O11
_cell_length_a 10.7136
_cell_length_b 10.1527
_cell_length_c 8.4551
_cell_angle_alpha 90.00
_cell_angle_beta 90.00
_cell_angle_gamma 90.00
_space_group_name_H-M_alt 'I m a 2'
_space_group_IT_number 46
loop_
_space_group_symop_operation_xyz
'x,y,z'
'-x,-y,z'
'-x+1/2,y,z'
'x+1/2,-y,z'
'x+1/2,y+1/2,z+1/2'
'-x+1/2,-y+1/2,z+1/2'
'-x,y+1/2,z+1/2'
'x,-y+1/2,z+1/2'
loop_
_atom_site_label
_atom_site_type_symbol
_atom_site_fract_x
_atom_site_fract_y
_atom_site_fract_z
Sm1 Sm 0.0000 0.0000 0.0000
Pu1 Pu 0.2500 0.2233 0.2843
Pu2 Pu 0.2500 0.7361 0.2352
O1 O 0.1272 0.1230 0.1885
O2 O 0.1265 0.1791 0.8857
O3 O 0.1268 0.6150 0.3074
O4 O 0.1266 0.6453 0.6652
O5 O 0.2500 0.0404 0.4745
O6 O 0.2500 0.0766 0.6180
O7 O 0.2500 0.6808 0.9779
```



Diffraction record for Nd2B2Rh5. The X-ray diffraction stick pattern is simulated, not measured: it uses a structure optimized by DFT (GGA-PBE) and a wavelength of 1.5418 Å.
Neutral-atom scattering factors, no anomalous dispersion.

Most intense lines, 5° ≤ 2θ ≤ 70°, in order of rising 2θ:
h k l	2theta	intensity
1 0 2	30.00	10.9
1 1 2	37.01	100.0
0 0 4	42.78	17.8
2 0 0	43.10	34.9
2 0 4	62.35	22.9
2 2 0	62.59	11.3

```
data_Nd2B2Rh5
_cell_length_a 4.1978
_cell_length_b 4.1978
_cell_length_c 8.4546
_cell_angle_alpha 90.00
_cell_angle_beta 90.00
_cell_angle_gamma 90.00
_space_group_name_H-M_alt 'P 4/m m m'
_space_group_IT_number 123
_space_group_name_Hall '-P 4 2'
loop_
_atom_site_label
_atom_site_type_symbol
_atom_site_fract_x
_atom_site_fract_y
_atom_site_fract_z
Nd1 Nd 0.0000 0.0000 0.0000
Nd2 Nd 0.0000 0.0000 0.5000
B1 B 0.5000 0.5000 0.2343
Rh1 Rh 0.0000 0.5000 0.2496
Rh2 Rh 0.5000 0.5000 0.5000
```



Diffraction record for Er3Ag3PdO8. The X-ray diffraction stick pattern is simulated, not measured: it uses a structure optimized by DFT (GGA-PBE) and a wavelength of 1.5418 Å.
Neutral-atom scattering factors, no anomalous dispersion.

Most intense lines, 5° ≤ 2θ ≤ 70°, in order of rising 2θ:
h k l	2theta	intensity
0 0 1	15.44	27.3
0 0 2	31.18	43.8
2 2 0	32.52	86.8
4 0 0	37.34	100.0
2 2 2	52.99	21.5
0 4 0	54.72	32.2

```
data_Er3Ag3PdO8
_cell_length_a 11.6200
_cell_length_b 6.7113
_cell_length_c 6.9333
_cell_angle_alpha 90.00
_cell_angle_beta 124.14
_cell_angle_gamma 90.00
_space_group_name_H-M_alt 'C 1 2/m 1'
_space_group_IT_number 12
loop_
_space_group_symop_operation_xyz
'x,y,z'
'-x,-y,-z'
'-x,y,-z'
'x,-y,z'
'x+1/2,y+1/2,z'
'-x+1/2,-y+1/2,-z'
'-x+1/2,y+1/2,-z'
'x+1/2,-y+1/2,z'
loop_
_atom_site_label
_atom_site_type_symbol
_atom_site_fract_x
_atom_site_fract_y
_atom_site_fract_z
Er1 Er 0.0000 0.0000 0.0000
Er2 Er 0.2500 0.2500 0.0000
Ag1 Ag 0.0000 0.5000 0.5000
Ag2 Ag 0.2500 0.2500 0.5000
Pd1 Pd 0.0000 0.5000 0.0000
O1 O 0.0126 0.2709 0.8096
O2 O 0.2164 0.5000 0.1903
O3 O 0.2272 0.0000 0.1808
```



Diffraction record for Cs2MnH6. The X-ray diffraction stick pattern is simulated, not measured: it uses a structure optimized by DFT (GGA-PBE) and a wavelength of 1.5418 Å.
Neutral-atom scattering factors, no anomalous dispersion.

Most intense lines, 5° ≤ 2θ ≤ 70°, in order of rising 2θ:
h k l	2theta	intensity
1 0 1	18.72	25.7
1 0 2	24.43	100.0
1 1 0	28.61	77.9
1 0 3	31.85	21.8
2 0 2	37.97	32.3
2 1 2	48.22	30.5

```
data_Cs2MnH6
_cell_length_a 6.2405
_cell_length_b 6.2405
_cell_length_c 9.8653
_cell_angle_alpha 90.00
_cell_angle_beta 90.00
_cell_angle_gamma 120.00
_space_group_name_H-M_alt 'P 63 m c'
_space_group_IT_number 186
_space_group_name_Hall 'P 6c -2c'
loop_
_atom_site_label
_atom_site_type_symbol
_atom_site_fract_x
_atom_site_fract_y
_atom_site_fract_z
Cs1 Cs 0.0000 0.0000 0.0000
Cs2 Cs 0.3333 0.6667 0.2680
Mn1 Mn 0.3333 0.6667 0.6669
H1 H 0.1022 0.5511 0.5595
H2 H 0.1965 0.3929 0.7462
```



Diffraction record for Hf2Ga2Ir. The X-ray diffraction stick pattern is simulated, not measured: it uses a structure optimized by DFT (GGA-PBE) and a wavelength of 1.5418 Å.
Neutral-atom scattering factors, no anomalous dispersion.

Most intense lines, 5° ≤ 2θ ≤ 70°, in order of rising 2θ:
h k l	2theta	intensity
1 1 2	29.45	20.1
2 0 2	35.27	50.4
2 1 2	37.89	100.0
3 1 0	43.27	48.3
0 0 4	45.52	17.6
4 1 2	62.42	16.7

```
data_Hf2Ga2Ir
_cell_length_a 6.6125
_cell_length_b 6.6125
_cell_length_c 7.9705
_cell_angle_alpha 90.00
_cell_angle_beta 90.00
_cell_angle_gamma 90.00
_space_group_name_H-M_alt 'P 4/m n c'
_space_group_IT_number 128
_space_group_name_Hall '-P 4 2n'
loop_
_atom_site_label
_atom_site_type_symbol
_atom_site_fract_x
_atom_site_fract_y
_atom_site_fract_z
Hf1 Hf 0.1701 0.3263 0.0000
Ga1 Ga 0.1336 0.6336 0.2500
Ir1 Ir 0.0000 0.0000 0.2987
```



Diffraction record for Sc2Ga5Au3. The X-ray diffraction stick pattern is simulated, not measured: it uses a structure optimized by DFT (GGA-PBE) and a wavelength of 1.5418 Å.
Neutral-atom scattering factors, no anomalous dispersion.

Most intense lines, 5° ≤ 2θ ≤ 70°, in order of rising 2θ:
h k l	2theta	intensity
1 1 1	24.68	43.8
0 2 2	26.70	60.0
1 3 2	35.00	100.0
2 0 0	42.19	66.0
1 3 3	45.90	45.5
1 9 2	47.21	73.0

```
data_Sc2Ga5Au3
_cell_length_a 4.2831
_cell_length_b 24.7389
_cell_length_c 6.9448
_cell_angle_alpha 90.00
_cell_angle_beta 90.00
_cell_angle_gamma 90.00
_space_group_name_H-M_alt 'C m c 21'
_space_group_IT_number 36
loop_
_space_group_symop_operation_xyz
'x,y,z'
'-x,-y,z+1/2'
'-x,y,z'
'x,-y,z+1/2'
'x+1/2,y+1/2,z'
'-x+1/2,-y+1/2,z+1/2'
'-x+1/2,y+1/2,z'
'x+1/2,-y+1/2,z+1/2'
loop_
_atom_site_label
_atom_site_type_symbol
_atom_site_fract_x
_atom_site_fract_y
_atom_site_fract_z
Sc1 Sc 0.0000 0.0178 0.0000
Sc2 Sc 0.0000 0.3265 0.0163
Ga1 Ga 0.0000 0.1036 0.3529
Ga2 Ga 0.0000 0.2056 0.2400
Ga3 Ga 0.0000 0.2075 0.8171
Ga4 Ga 0.0000 0.3839 0.4853
Ga5 Ga 0.0000 0.4509 0.1644
Au1 Au 0.0000 0.1063 0.7388
Au2 Au 0.0000 0.2774 0.5298
Au3 Au 0.0000 0.4502 0.7808
```